# CdCuNiF6
Calculated X-ray powder pattern, λ = 1.5418 Å (Cu Kα). Input: a crystal structure in Alexandria, relaxed with GGA+U.
Kinematic intensities with the Lorentz-polarization factor, no thermal factor.

Largest 8 diffraction maxima, in order of rising 2θ, 2θ from 15° to 90°:
Position (°2θ)  I (rel.)  hkl
24.51  1000  1 1 0
33.45  502  1 0 3
34.94  157  2 0 0
49.15  608  2 1 3
50.25  164  2 2 0
56.68  110  3 1 0
61.72  221  3 0 3
64.67  115  1 1 6

Crystal structure
```
18
Lattice="5.1354 0.0000 0.0000 0.0000 5.1354 0.0000 0.0000 0.0000 9.4210" Properties=species:S:1:pos:R:3 pbc="T T T"
Cd 0.0000 0.0000 0.0000
Cd 2.5677 2.5677 4.7105
Cu 0.0000 0.0000 6.2352
Cu 2.5677 2.5677 1.5247
Ni 0.0000 0.0000 3.1482
Ni 2.5677 2.5677 7.8587
F 0.9018 0.9018 4.7109
F 0.9566 0.9566 7.6447
F 0.9650 0.9650 1.7468
F 1.6028 3.5327 6.4573
F 1.6111 3.5243 2.9342
F 1.6659 3.4695 0.0004
F 3.4695 1.6659 0.0004
F 3.5243 1.6111 2.9342
F 3.5327 1.6028 6.4573
F 4.1705 4.1705 1.7468
F 4.1788 4.1788 7.6447
F 4.2336 4.2336 4.7109
```